Lu2WO6: simulated powder XRD pattern (Cu Kα, 1.54184 Å), based on a PBE+U-relaxed structure.
Peak positions follow from Bragg's law for the DFT cell and can differ from measured ones.

Main lines, low angle first (2θ from 15° to 90°):
d/Å  I_rel  (hkl)
3.077  100  2 1 -1
2.997  97  0 1 3
2.760  14  2 1 1
2.735  21  2 0 2
2.649  24  0 2 0
2.518  22  2 0 -4
1.903  16  2 2 2
1.825  23  2 2 -4
1.817  11  0 0 6
1.736  12  4 1 -3
1.552  11  4 1 -5
1.521  11  2 1 -7

Crystal structure
```
Lu2WO6
1.0
7.586 0.000 0.000
0.000 5.298 0.000
-2.893 0.000 10.903
Lu W O
8 4 24
direct
0.000 0.186 0.250
0.000 0.814 0.750
0.294 0.319 0.921
0.294 0.681 0.421
0.500 0.241 0.250
0.500 0.759 0.750
0.706 0.319 0.579
0.706 0.681 0.079
0.224 0.243 0.615
0.224 0.757 0.115
0.776 0.243 0.885
0.776 0.757 0.385
0.013 0.137 0.884
0.013 0.863 0.384
0.133 0.349 0.449
0.133 0.651 0.949
0.211 0.476 0.230
0.211 0.524 0.730
0.295 0.040 0.776
0.295 0.960 0.276
0.346 0.043 0.069
0.346 0.957 0.569
0.442 0.456 0.605
0.442 0.544 0.105
0.558 0.456 0.895
0.558 0.544 0.395
0.654 0.043 0.431
0.654 0.957 0.931
0.705 0.040 0.724
0.705 0.960 0.224
0.789 0.476 0.270
0.789 0.524 0.770
0.867 0.349 0.051
0.867 0.651 0.551
0.987 0.137 0.616
0.987 0.863 0.116
```